Computed powder XRD pattern
Compound: Na3Nd9B8O27
Radiation: Cu Kα X-rays
Structure: a GGA-PBE-relaxed structure

Structural model:
Unit cell a=8.8368 b=8.8368 c=8.5576 alpha=90.00 beta=90.00 gamma=120.00
Positions (direct):
1 Na 0.0000 0.3332 0.0000
2 Na 0.3332 0.0000 0.0000
3 Na 0.6668 0.6668 0.0000
4 Nd 0.0000 0.2812 0.5000
5 Nd 0.0000 0.6503 0.2355
6 Nd 0.0000 0.6503 0.7645
7 Nd 0.2812 0.0000 0.5000
8 Nd 0.3497 0.3497 0.2355
9 Nd 0.3497 0.3497 0.7645
10 Nd 0.6503 0.0000 0.2355
11 Nd 0.6503 0.0000 0.7645
12 Nd 0.7188 0.7188 0.5000
13 B 0.0000 0.0000 0.2130
14 B 0.0000 0.0000 0.7870
15 B 0.3333 0.6667 0.0000
16 B 0.3333 0.6667 0.3251
17 B 0.3333 0.6667 0.6749
18 B 0.6667 0.3333 0.0000
19 B 0.6667 0.3333 0.3251
20 B 0.6667 0.3333 0.6749
21 O 0.0000 0.1571 0.2152
22 O 0.0000 0.1571 0.7848
23 O 0.0000 0.7430 0.5000
24 O 0.1571 0.0000 0.2152
25 O 0.1571 0.0000 0.7848
26 O 0.1768 0.5121 0.3185
27 O 0.1768 0.5121 0.6815
28 O 0.1808 0.6781 0.0000
29 O 0.2570 0.2570 0.5000
30 O 0.3219 0.5027 0.0000
31 O 0.3353 0.8232 0.3185
32 O 0.3353 0.8232 0.6815
33 O 0.4879 0.6647 0.3185
34 O 0.4879 0.6647 0.6815
35 O 0.4973 0.8192 0.0000
36 O 0.5027 0.3219 0.0000
37 O 0.5121 0.1768 0.3185
38 O 0.5121 0.1768 0.6815
39 O 0.6647 0.4879 0.3185
40 O 0.6647 0.4879 0.6815
41 O 0.6781 0.1808 0.0000
42 O 0.7430 0.0000 0.5000
43 O 0.8192 0.4973 0.0000
44 O 0.8232 0.3353 0.3185
45 O 0.8232 0.3353 0.6815
46 O 0.8429 0.8429 0.2152
47 O 0.8429 0.8429 0.7848

Peak list (6 most intense, 15° ≤ 2θ ≤ 90°, in order of falling intensity)
| 2theta | I_rel |
| --- | --- |
| 29.05 | 1000 |
| 46.25 | 416 |
| 20.10 | 410 |
| 35.18 | 399 |
| 22.65 | 254 |
| 56.11 | 214 |



Computed powder XRD pattern
Compound: K2SnN6
Radiation: Cu Kα X-rays
Structure: a GGA-PBE-relaxed structure

Structural model:
Unit cell a=6.3927 b=6.3927 c=6.3927 alpha=60.51 beta=60.51 gamma=60.51
Positions (direct):
1 K 0.2486 0.2486 0.2486
2 K 0.7514 0.7514 0.7514
3 Sn 0.5000 0.5000 0.5000
4 N 0.2610 0.2610 0.7378
5 N 0.2610 0.7378 0.2610
6 N 0.2622 0.7390 0.7390
7 N 0.7378 0.2610 0.2610
8 N 0.7390 0.2622 0.7390
9 N 0.7390 0.7390 0.2622

Peak list (6 most intense, 15° ≤ 2θ ≤ 90°, in order of falling intensity)
| 2theta | I_rel |
| --- | --- |
| 16.88 | 1000 |
| 27.70 | 592 |
| 27.92 | 579 |
| 39.73 | 563 |
| 32.68 | 547 |
| 17.05 | 336 |